# 1
Simulated X-ray powder pattern of MgGa3 for a wavelength of 1.5418 Å, from a DFT-relaxed cell (PBE, the Materials Project).
Lines closer than 0.1° are merged.

Crystal structure
Cell lengths 3.2707, 4.5860, 5.1474 Å; angles 90.00, 90.00, 90.00 degrees
Sites, in units of the cell vectors:
Mg: 0.0000 0.0000 0.0000
Ga: 0.0000 0.5000 0.6511
Ga: 0.5000 0.0000 0.4986
Ga: 0.5000 0.5000 0.1698

Principal peaks in the range 2θ = 10–90°, in order of rising 2θ:
Position (°2θ), I_rel
32.43, 265
34.86, 125
38.05, 1000
39.29, 296
40.18, 403
51.83, 137
60.98, 153
70.40, 154
71.36, 139
74.99, 162

# 2
Simulated X-ray powder pattern of MgGa2 for a wavelength of 1.5418 Å, from a DFT-relaxed cell (PBE, the Materials Project).
Lines closer than 0.1° are merged.

Crystal structure
Cell lengths 5.2782, 5.2782, 6.5253 Å; angles 125.29, 125.29, 58.30 degrees
Sites, in units of the cell vectors:
Mg: 0.1024 0.8976 0.7500
Mg: 0.8976 0.1024 0.2500
Ga: 0.2351 0.4319 0.2546
Ga: 0.4319 0.2351 0.7546
Ga: 0.5681 0.7649 0.2454
Ga: 0.7649 0.5681 0.7454

Principal peaks in the range 2θ = 10–90°, in order of rising 2θ:
Position (°2θ), I_rel
21.54, 275
34.82, 625
35.75, 979
36.73, 688
39.60, 1000
43.01, 580
45.34, 254
60.34, 203
62.52, 254
68.08, 191

# 3
Simulated X-ray powder pattern of MgGa2 for a wavelength of 1.5418 Å, from a DFT-relaxed cell (PBE, the Materials Project).
Lines closer than 0.1° are merged.

Crystal structure
Cell lengths 5.4984, 5.4984, 5.1227 Å; angles 90.00, 90.00, 90.00 degrees
Sites, in units of the cell vectors:
Mg: 0.0000 0.0000 0.0000
Mg: 0.5000 0.5000 0.5000
Ga: 0.1602 0.1602 0.5000
Ga: 0.3398 0.6602 0.0000
Ga: 0.6602 0.3398 0.0000
Ga: 0.8398 0.8398 0.5000

Principal peaks in the range 2θ = 10–90°, in order of rising 2θ:
Position (°2θ), I_rel
22.87, 379
23.74, 406
28.83, 1000
35.03, 404
36.54, 607
40.70, 250
50.20, 275
51.52, 443
53.07, 471
76.20, 154

# 4
Simulated X-ray powder pattern of MgGa5 for a wavelength of 1.5418 Å, from a DFT-relaxed cell (PBE, the Materials Project).
Lines closer than 0.1° are merged.

Crystal structure
Cell lengths 5.6295, 5.6295, 7.0373 Å; angles 104.20, 104.20, 32.40 degrees
Sites, in units of the cell vectors:
Mg: 0.0000 0.0000 0.0000
Ga: 0.2796 0.2796 0.0581
Ga: 0.3304 0.3304 0.6641
Ga: 0.6125 0.6125 0.7208
Ga: 0.6692 0.6692 0.3386
Ga: 0.9433 0.9433 0.3945

Principal peaks in the range 2θ = 10–90°, in order of rising 2θ:
Position (°2θ), I_rel
33.44, 507
34.95, 231
37.67, 692
38.46, 989
38.59, 1000
39.74, 442
39.99, 433
61.72, 320
71.96, 194
74.37, 185